This entry pairs a crystal structure of ReAsP with its calculated X-ray powder pattern. Radiation: copper Kα. Structure: a crystal structure in Alexandria, relaxed with GGA-PBE.
Kinematic intensities with the Lorentz-polarization factor, no thermal factor.

Atomic structure:
Lattice parameters (Å, degrees): 5.872 6.245 6.195 90.00 118.36 90.00
Space group P2_1/c (No. 14)
Symmetry-distinct sites (fractional):
1 Re 0.235 0.005 0.494 (multiplicity 4)
2 As 0.333 0.620 0.658 (multiplicity 4)
3 P 0.164 0.137 0.821 (multiplicity 4)

Peak list (8 most intense, 2θ from 5° to 70°, sorted by position)
| h k l | two_theta | intensity |
| --- | --- | --- |
| 0 1 1 | 21.64 | 100 |
| 0 2 0 | 28.59 | 42 |
| 2 0 -2 | 34.70 | 84 |
| 2 2 -2 | 45.56 | 47 |
| 0 3 1 | 46.71 | 33 |
| 2 1 -3 | 47.81 | 57 |
| 0 1 3 | 52.44 | 31 |
| 2 3 -1 | 54.00 | 28 |